No. 1
Calculated powder XRD pattern
Compound: La2BPd6Pt
Radiation: Cu Kα
Structure: the GGA-PBE geometry in Alexandria
No peak broadening, texture or thermal motion is included.

Main lines, in order of falling intensity (2θ = 10–90°):
Position (°2θ)	intensity
34.1	100
39.7	69
38.1	29
57.6	29
65.4	27
44.2	16
37.5	13
31.3	13
55.7	11
36.6	11

Cell and atoms:
abc: 5.7072 5.7072 40.2732
angles: 90.00 90.00 120.00
Space group R-3m (No. 166, hexagonal axes)
Unique sites:
La (0.0000, 0.0000, 0.1082) (multiplicity 6)
La (0.0000, 0.0000, 0.2760) (multiplicity 6)
B (0.0000, 0.0000, 0.0000) (multiplicity 3)
B (0.0000, 0.0000, 0.5000) (multiplicity 3)
Pd (0.0109, 0.5054, 0.3036) (multiplicity 18)
Pd (0.0170, 0.5085, 0.8628) (multiplicity 18)
Pt (0.0000, 0.0000, 0.4178) (multiplicity 6)

***

No. 2
Calculated powder XRD pattern
Compound: LaBPd2Se
Radiation: Cu Kα
Structure: the GGA-PBE geometry in Alexandria
No peak broadening, texture or thermal motion is included.

Main lines, in order of falling intensity (2θ = 10–90°):
Position (°2θ)	intensity
34.2	100
31.5	34
54.6	28
43.4	28
57.8	22
73.7	21
72.1	12
63.0	9
82.1	8
26.5	5

Cell and atoms:
abc: 4.1730 4.1730 5.6828
angles: 90.00 90.00 90.00
Space group P4/mmm (No. 123)
Unique sites:
La (0.0000, 0.0000, 0.0000) (multiplicity 1)
B (0.5000, 0.5000, 0.5000) (multiplicity 1)
Pd (0.0000, 0.5000, 0.5000) (multiplicity 2)
Se (0.5000, 0.5000, 0.0000) (multiplicity 1)

***

No. 3
Calculated powder XRD pattern
Compound: La2ZnBPd6
Radiation: Cu Kα
Structure: the GGA-PBE geometry in Alexandria
No peak broadening, texture or thermal motion is included.

Main lines, in order of falling intensity (2θ = 10–90°):
Position (°2θ)	intensity
37.3	100
41.0	75
31.5	63
39.6	61
35.3	46
58.3	35
28.6	21
41.9	18
34.9	16
28.2	15

Cell and atoms:
abc: 5.7608 8.8032 7.4197
angles: 90.00 90.00 90.00
Space group Pmmn (No. 59, origin choice 2)
Unique sites:
La (0.2500, 0.0293, 0.2180) (multiplicity 4)
Zn (0.2500, 0.7500, 0.8214) (multiplicity 2)
B (0.2500, 0.2500, 0.6852) (multiplicity 2)
Pd (0.0062, 0.2500, 0.8974) (multiplicity 4)
Pd (0.0123, 0.7500, 0.5131) (multiplicity 4)
Pd (0.2500, 0.0085, 0.6475) (multiplicity 4)

***

No. 4
Calculated powder XRD pattern
Compound: LaPmB12
Radiation: Cu Kα
Structure: the GGA-PBE geometry in Alexandria
No peak broadening, texture or thermal motion is included.

Main lines, in order of falling intensity (2θ = 10–90°):
Position (°2θ)	intensity
30.5	100
21.5	65
49.2	50
37.6	42
67.9	28
54.3	27
43.7	22
72.1	20
88.3	18
76.3	13

Cell and atoms:
abc: 8.2815 8.2815 8.2815
angles: 90.00 90.00 90.00
Space group Fm-3m (No. 225)
Unique sites:
La (0.0000, 0.0000, 0.0000) (multiplicity 4)
Pm (0.0000, 0.0000, 0.5000) (multiplicity 4)
B (0.0998, 0.2500, 0.2500) (multiplicity 48)

***

No. 5
Calculated powder XRD pattern
Compound: LaPrB12
Radiation: Cu Kα
Structure: the GGA-PBE geometry in Alexandria
No peak broadening, texture or thermal motion is included.

Main lines, in order of falling intensity (2θ = 10–90°):
Position (°2θ)	intensity
30.5	100
21.4	64
49.1	49
37.5	42
67.7	28
54.1	27
43.6	22
71.9	20
88.0	17
76.0	13

Cell and atoms:
abc: 8.3017 8.3017 8.3017
angles: 90.00 90.00 90.00
Space group Fm-3m (No. 225)
Unique sites:
La (0.0000, 0.0000, 0.0000) (multiplicity 4)
Pr (0.0000, 0.0000, 0.5000) (multiplicity 4)
B (0.0999, 0.2500, 0.2500) (multiplicity 48)

***

No. 6
Calculated powder XRD pattern
Compound: LaB2Pt
Radiation: Cu Kα
Structure: the GGA-PBE geometry in Alexandria
No peak broadening, texture or thermal motion is included.

Main lines, in order of falling intensity (2θ = 10–90°):
Position (°2θ)	intensity
31.2	100
25.5	37
48.5	30
48.6	29
40.5	25
67.9	22
79.6	14
65.0	13
68.3	11
74.3	8

Cell and atoms:
abc: 4.4500 4.4500 13.9735
angles: 90.00 90.00 90.00
Space group I4_1/amd (No. 141, origin choice 2)
Unique sites:
La (0.0000, 0.2500, 0.3750) (multiplicity 4)
B (0.0000, 0.0000, 0.0000) (multiplicity 8)
Pt (0.0000, 0.2500, 0.8750) (multiplicity 4)

***

No. 7
Calculated powder XRD pattern
Compound: La4B3PtRh12
Radiation: Cu Kα
Structure: the GGA-PBE geometry in Alexandria
No peak broadening, texture or thermal motion is included.

Main lines, in order of falling intensity (2θ = 10–90°):
Position (°2θ)	intensity
35.2	100
40.8	79
59.1	49
70.6	32
74.3	15
38.1	15
28.5	15
32.0	11
48.3	10
88.4	7

Cell and atoms:
abc: 8.8442 8.8442 8.8442
angles: 90.00 90.00 90.00
Space group Im-3m (No. 229)
Unique sites:
La (0.2500, 0.2500, 0.2500) (multiplicity 8)
B (0.0000, 0.0000, 0.5000) (multiplicity 6)
Pt (0.0000, 0.0000, 0.0000) (multiplicity 2)
Rh (0.0000, 0.0000, 0.2813) (multiplicity 12)
Rh (0.0000, 0.2500, 0.5000) (multiplicity 12)

***

No. 8
Calculated powder XRD pattern
Compound: LaTlBPt4
Radiation: Cu Kα
Structure: the GGA-PBE geometry in Alexandria
No peak broadening, texture or thermal motion is included.

Main lines, in order of falling intensity (2θ = 10–90°):
Position (°2θ)	intensity
15.0	100
38.3	51
30.2	47
46.0	37
28.9	36
24.6	34
50.4	32
43.3	21
65.0	16
76.0	14

Cell and atoms:
abc: 10.2477 10.2477 10.2477
angles: 90.00 90.00 90.00
Space group F-43m (No. 216)
Unique sites:
La (0.0000, 0.0000, 0.0000) (multiplicity 4)
Tl (0.2500, 0.2500, 0.7500) (multiplicity 4)
B (0.0000, 0.0000, 0.5000) (multiplicity 4)
Pt (0.1074, 0.1074, 0.6074) (multiplicity 16)

***

No. 9
Calculated powder XRD pattern
Compound: LaRe4B4
Radiation: Cu Kα
Structure: the GGA-PBE geometry in Alexandria
No peak broadening, texture or thermal motion is included.

Main lines, in order of falling intensity (2θ = 10–90°):
Position (°2θ)	intensity
34.0	100
37.8	76
40.0	65
16.6	49
44.3	46
26.8	45
48.6	32
56.8	28
77.7	27
43.6	26

Cell and atoms:
abc: 7.5352 7.5352 4.2462
angles: 90.00 90.00 90.00
Space group P4_2/n (No. 86, origin choice 2)
Unique sites:
La (0.2500, 0.2500, 0.2500) (multiplicity 2)
Re (0.1181, 0.6251, 0.1171) (multiplicity 8)
B (0.0587, 0.9209, 0.1208) (multiplicity 8)

***

No. 10
Calculated powder XRD pattern
Compound: La2Re3B7
Radiation: Cu Kα
Structure: the GGA-PBE geometry in Alexandria
No peak broadening, texture or thermal motion is included.

Main lines, in order of falling intensity (2θ = 10–90°):
Position (°2θ)	intensity
32.8	100
32.6	76
27.7	57
49.1	54
40.6	44
26.6	42
30.4	36
28.8	31
37.0	31
38.3	30

Cell and atoms:
abc: 7.7002 6.8074 11.6844
angles: 90.00 90.00 90.00
Space group Pcca (No. 54)
Unique sites:
La (0.1772, 0.2363, 0.1775) (multiplicity 8)
Re (0.0913, 0.3950, 0.9198) (multiplicity 8)
Re (0.2500, 0.0000, 0.4317) (multiplicity 4)
B (0.0000, 0.3661, 0.7500) (multiplicity 4)
B (0.0331, 0.1038, 0.5410) (multiplicity 8)
B (0.0398, 0.1227, 0.8168) (multiplicity 8)
B (0.1293, 0.3014, 0.4615) (multiplicity 8)

***

No. 11
Calculated powder XRD pattern
Compound: LaB4Rh7
Radiation: Cu Kα
Structure: the GGA-PBE geometry in Alexandria
No peak broadening, texture or thermal motion is included.

Main lines, in order of falling intensity (2θ = 10–90°):
Position (°2θ)	intensity
37.1	100
36.0	85
44.9	56
37.2	48
76.3	35
59.7	24
48.9	20
67.0	18
30.7	15
59.6	13

Cell and atoms:
abc: 2.9123 5.6055 9.6581
angles: 90.00 90.00 90.00
Space group Pmmm (No. 47)
Unique sites:
La (0.0000, 0.0000, 0.0000) (multiplicity 1)
B (0.0000, 0.0000, 0.3310) (multiplicity 2)
B (0.0000, 0.5000, 0.1662) (multiplicity 2)
Rh (0.0000, 0.5000, 0.5000) (multiplicity 1)
Rh (0.5000, 0.0000, 0.5000) (multiplicity 1)
Rh (0.5000, 0.2595, 0.2616) (multiplicity 4)
Rh (0.5000, 0.5000, 0.0000) (multiplicity 1)